The following is a simulated powder diffraction line list of Li2V4CuNiO12. It was derived from DFT lattice parameters and positions (PBE+U), using Cu Kα X-rays.
Kinematic intensities with the Lorentz-polarization factor, no thermal factor.

Top 6 peaks for 2θ from 5° to 70°, by intensity:
| Position (°2θ) | intensity |
| --- | --- |
| 28.2 | 100 |
| 13.5 | 53 |
| 28.7 | 44 |
| 35.1 | 41 |
| 19.0 | 40 |
| 36.3 | 23 |

Atomic structure:
a = 6.9752 Å, b = 6.9752 Å, c = 5.6009 Å
α = 108.60°, β = 108.60°, γ = 76.60°
Fractional positions:
Li1 0.0000 0.0000 0.0000
Li2 0.5352 0.4648 0.5000
V1 0.0920 0.3589 0.5572
V2 0.4285 0.1262 0.9795
V3 0.6411 0.9080 0.4428
V4 0.8738 0.5715 0.0205
Cu1 0.3681 0.6319 0.0000
Ni1 0.1851 0.8149 0.5000
O1 0.0503 0.7347 0.1068
O2 0.1423 0.1017 0.4328
O3 0.2653 0.9497 0.8932
O4 0.2689 0.3584 0.9412
O5 0.2721 0.5434 0.6158
O6 0.4566 0.7279 0.3842
O7 0.5561 0.1553 0.3137
O8 0.5975 0.0665 0.7891
O9 0.6416 0.7311 0.0588
O10 0.8447 0.4439 0.6863
O11 0.8983 0.8577 0.5672
O12 0.9335 0.4025 0.2109